# Ho15Tm4Mg
Simulated powder diffraction line list, Cu Kα X-rays. Input: a crystal structure in Alexandria, relaxed with GGA-PBE.
No peak broadening, texture or thermal motion is included.

Structure:
```
Ho15Tm4Mg
1.0
4.9512 0.0000 0.0000
0.0000 4.9512 0.0000
0.0000 0.0000 24.8008
Ho Tm Mg
15 4 1
Cartesian
0.0000 0.0000 0.0000
0.0000 0.0000 4.8814
0.0000 0.0000 9.8990
0.0000 0.0000 14.9018
0.0000 0.0000 19.9194
0.0000 2.4756 2.4478
0.0000 2.4756 7.4123
0.0000 2.4756 12.4004
0.0000 2.4756 17.3885
0.0000 2.4756 22.3530
2.4756 0.0000 2.4478
2.4756 0.0000 7.4123
2.4756 0.0000 12.4004
2.4756 0.0000 17.3885
2.4756 0.0000 22.3530
2.4756 2.4756 4.9160
2.4756 2.4756 9.9052
2.4756 2.4756 14.8956
2.4756 2.4756 19.8848
2.4756 2.4756 0.0000
```

Top 8 peaks for 10° ≤ 2θ ≤ 90°, in order of falling intensity:
31.3°, intensity 1000
36.3°, intensity 505
52.2°, intensity 357
62.2°, intensity 283
62.1°, intensity 140
65.2°, intensity 122
85.4°, intensity 118
88.2°, intensity 112


# HoTm4Mg7
Simulated powder diffraction line list, Cu Kα X-rays. Input: a crystal structure in Alexandria, relaxed with GGA-PBE.
No peak broadening, texture or thermal motion is included.

Structure:
```
HoTm4Mg7
1.0
5.2683 0.0000 0.0000
-2.6341 4.5625 0.0000
0.0000 0.0000 13.0804
Ho Tm Mg
1 4 7
Cartesian
0.0000 0.0000 0.0000
0.0000 3.0416 2.1138
0.0000 3.0416 5.5323
2.6341 1.5208 7.5481
2.6341 1.5208 10.9666
0.0000 0.0000 3.4274
0.0000 0.0000 6.5402
0.0000 0.0000 9.6529
0.0000 3.0416 8.9069
0.0000 3.0416 12.0056
2.6341 1.5208 1.0747
2.6341 1.5208 4.1735
```

Top 8 peaks for 10° ≤ 2θ ≤ 90°, in order of falling intensity:
33.7°, intensity 1000
34.0°, intensity 972
20.6°, intensity 880
28.3°, intensity 536
60.7°, intensity 531
48.7°, intensity 410
81.6°, intensity 230
60.9°, intensity 181


# Ho3Tm4Mg4
Simulated powder diffraction line list, Cu Kα X-rays. Input: a crystal structure in Alexandria, relaxed with GGA-PBE.
No peak broadening, texture or thermal motion is included.

Structure:
```
Ho3Tm4Mg4
1.0
-2.6963 3.4159 8.6089
2.6963 -3.4159 8.6089
2.6963 3.4159 -8.6089
Ho Tm Mg
3 4 4
Cartesian
0.0000 0.0000 0.0000
2.6963 0.0000 6.7492
0.0000 3.4159 1.8597
2.6963 1.6445 -3.2081
2.6963 1.6445 3.2081
0.0000 1.7714 5.4008
0.0000 1.7714 11.8170
0.0000 0.0000 2.9218
2.6963 1.9185 0.0000
0.0000 1.4974 8.6089
0.0000 0.0000 14.2960
```

Top 8 peaks for 10° ≤ 2θ ≤ 90°, in order of falling intensity:
31.4°, intensity 1000
33.2°, intensity 614
22.6°, intensity 584
30.8°, intensity 578
34.8°, intensity 535
28.1°, intensity 457
29.6°, intensity 417
29.0°, intensity 312


# Ho2TmMg6
Simulated powder diffraction line list, Cu Kα X-rays. Input: a crystal structure in Alexandria, relaxed with GGA-PBE.
No peak broadening, texture or thermal motion is included.

Structure:
```
Ho2TmMg6
1.0
7.8298 -4.5113 0.0000
7.8298 4.5113 0.0000
-0.0184 0.0000 3.2749
Ho Tm Mg
2 1 6
Cartesian
2.5895 0.0000 3.2745
13.0517 0.0000 0.0004
7.8298 0.0000 0.0000
5.2156 1.5011 1.6358
7.8206 2.9974 1.6375
5.2156 -1.5011 1.6358
10.4256 1.5011 1.6391
7.8206 -2.9974 1.6375
10.4256 -1.5011 1.6391
```

Top 8 peaks for 10° ≤ 2θ ≤ 90°, in order of falling intensity:
19.7°, intensity 1000
33.8°, intensity 664
34.4°, intensity 612
33.9°, intensity 329
49.1°, intensity 232
61.3°, intensity 178
39.9°, intensity 168
61.2°, intensity 120


# Ho2Tm2Mg3
Simulated powder diffraction line list, Cu Kα X-rays. Input: a crystal structure in Alexandria, relaxed with GGA-PBE.
No peak broadening, texture or thermal motion is included.

Structure:
```
Ho2Tm2Mg3
1.0
27.9991 0.0000 0.0000
0.0000 3.7092 0.0000
-0.4888 0.0000 3.6786
Ho Tm Mg
4 4 6
Cartesian
1.8850 0.0000 0.2511
11.6258 1.8546 3.4274
15.8846 1.8546 0.2511
25.6254 0.0000 3.4274
5.7426 0.0000 0.7684
7.7682 1.8546 2.9101
19.7422 1.8546 0.7684
21.7677 0.0000 2.9101
-0.2444 1.8546 1.8393
3.5817 1.8546 2.3511
9.9291 0.0000 1.3275
13.7552 0.0000 1.8393
17.5813 0.0000 2.3511
23.9287 1.8546 1.3275
```

Top 8 peaks for 10° ≤ 2θ ≤ 90°, in order of falling intensity:
33.1°, intensity 1000
34.2°, intensity 475
24.2°, intensity 434
60.5°, intensity 354
55.5°, intensity 194
58.3°, intensity 176
49.1°, intensity 171
43.2°, intensity 152


# YHoTmMg
Simulated powder diffraction line list, Cu Kα X-rays. Input: a crystal structure in Alexandria, relaxed with GGA-PBE.
No peak broadening, texture or thermal motion is included.

Structure:
```
YHoTmMg
1.0
3.5596 0.0000 0.0000
0.0000 3.5596 0.0000
0.0000 0.0000 9.2406
Y Ho Tm Mg
1 1 1 1
Cartesian
0.0000 0.0000 0.0000
1.7798 1.7798 2.4688
0.0000 0.0000 4.8671
1.7798 1.7798 7.0273
```

Top 8 peaks for 10° ≤ 2θ ≤ 90°, in order of falling intensity:
31.7°, intensity 1000
35.7°, intensity 371
61.6°, intensity 297
26.8°, intensity 234
53.9°, intensity 213
39.0°, intensity 136
51.3°, intensity 131
66.1°, intensity 123


Copy entry 1 word for word.
# Ho15Tm4Mg
Simulated powder diffraction line list, Cu Kα X-rays. Input: a crystal structure in Alexandria, relaxed with GGA-PBE.
No peak broadening, texture or thermal motion is included.

Structure:
```
Ho15Tm4Mg
1.0
4.9512 0.0000 0.0000
0.0000 4.9512 0.0000
0.0000 0.0000 24.8008
Ho Tm Mg
15 4 1
Cartesian
0.0000 0.0000 0.0000
0.0000 0.0000 4.8814
0.0000 0.0000 9.8990
0.0000 0.0000 14.9018
0.0000 0.0000 19.9194
0.0000 2.4756 2.4478
0.0000 2.4756 7.4123
0.0000 2.4756 12.4004
0.0000 2.4756 17.3885
0.0000 2.4756 22.3530
2.4756 0.0000 2.4478
2.4756 0.0000 7.4123
2.4756 0.0000 12.4004
2.4756 0.0000 17.3885
2.4756 0.0000 22.3530
2.4756 2.4756 4.9160
2.4756 2.4756 9.9052
2.4756 2.4756 14.8956
2.4756 2.4756 19.8848
2.4756 2.4756 0.0000
```

Top 8 peaks for 10° ≤ 2θ ≤ 90°, in order of falling intensity:
31.3°, intensity 1000
36.3°, intensity 505
52.2°, intensity 357
62.2°, intensity 283
62.1°, intensity 140
65.2°, intensity 122
85.4°, intensity 118
88.2°, intensity 112


Please write out number 2 again, unchanged.
# HoTm4Mg7
Simulated powder diffraction line list, Cu Kα X-rays. Input: a crystal structure in Alexandria, relaxed with GGA-PBE.
No peak broadening, texture or thermal motion is included.

Structure:
```
HoTm4Mg7
1.0
5.2683 0.0000 0.0000
-2.6341 4.5625 0.0000
0.0000 0.0000 13.0804
Ho Tm Mg
1 4 7
Cartesian
0.0000 0.0000 0.0000
0.0000 3.0416 2.1138
0.0000 3.0416 5.5323
2.6341 1.5208 7.5481
2.6341 1.5208 10.9666
0.0000 0.0000 3.4274
0.0000 0.0000 6.5402
0.0000 0.0000 9.6529
0.0000 3.0416 8.9069
0.0000 3.0416 12.0056
2.6341 1.5208 1.0747
2.6341 1.5208 4.1735
```

Top 8 peaks for 10° ≤ 2θ ≤ 90°, in order of falling intensity:
33.7°, intensity 1000
34.0°, intensity 972
20.6°, intensity 880
28.3°, intensity 536
60.7°, intensity 531
48.7°, intensity 410
81.6°, intensity 230
60.9°, intensity 181


Please write out number 1 again, unchanged.
# Ho15Tm4Mg
Simulated powder diffraction line list, Cu Kα X-rays. Input: a crystal structure in Alexandria, relaxed with GGA-PBE.
No peak broadening, texture or thermal motion is included.

Structure:
```
Ho15Tm4Mg
1.0
4.9512 0.0000 0.0000
0.0000 4.9512 0.0000
0.0000 0.0000 24.8008
Ho Tm Mg
15 4 1
Cartesian
0.0000 0.0000 0.0000
0.0000 0.0000 4.8814
0.0000 0.0000 9.8990
0.0000 0.0000 14.9018
0.0000 0.0000 19.9194
0.0000 2.4756 2.4478
0.0000 2.4756 7.4123
0.0000 2.4756 12.4004
0.0000 2.4756 17.3885
0.0000 2.4756 22.3530
2.4756 0.0000 2.4478
2.4756 0.0000 7.4123
2.4756 0.0000 12.4004
2.4756 0.0000 17.3885
2.4756 0.0000 22.3530
2.4756 2.4756 4.9160
2.4756 2.4756 9.9052
2.4756 2.4756 14.8956
2.4756 2.4756 19.8848
2.4756 2.4756 0.0000
```

Top 8 peaks for 10° ≤ 2θ ≤ 90°, in order of falling intensity:
31.3°, intensity 1000
36.3°, intensity 505
52.2°, intensity 357
62.2°, intensity 283
62.1°, intensity 140
65.2°, intensity 122
85.4°, intensity 118
88.2°, intensity 112